1.
Diffraction record for SrLi6. The X-ray diffraction stick pattern is theoretical, not measured: it uses a PBE-relaxed structure and Cu Kα.
Neutral-atom scattering factors, no anomalous dispersion.

Peak list (8 most intense, 2θ = 10–80°, in order of rising 2θ)
hkl 0 0 2, 14.7°, d = 6.025 Å, I = 23; hkl 1 0 2, 17.3°, d = 5.122 Å, I = 38; hkl 2 0 0, 18.2°, d = 4.862 Å, I = 31; hkl 1 1 1, 18.7°, d = 4.741 Å, I = 100; hkl 0 1 3, 26.6°, d = 3.352 Å, I = 27; hkl 1 0 4, 31.1°, d = 2.878 Å, I = 25; hkl 3 1 1, 32.2°, d = 2.783 Å, I = 40; hkl 2 1 3, 32.4°, d = 2.760 Å, I = 39

Atomic structure:
abc: 9.724 6.083 12.050
angles: 90.00 90.00 90.00
Space group Pnma (No. 62)
Inequivalent atoms, fractional coordinates:
Sr  0.244  0.250  0.065 [4 per cell]
Li  0.058  0.750  0.094 [4 per cell]
Li  0.065  0.004  0.309 [8 per cell]
Li  0.098  0.250  0.518 [4 per cell]
Li  0.143  0.750  0.858 [4 per cell]
Li  0.186  0.250  0.756 [4 per cell]

2.
Diffraction record for Sr2Li7. The X-ray diffraction stick pattern is theoretical, not measured: it uses a PBE-relaxed structure and Cu Kα.
Neutral-atom scattering factors, no anomalous dispersion.

Peak list (8 most intense, 2θ = 10–80°, in order of rising 2θ)
hkl 1 0 1, 16.2°, d = 5.457 Å, I = 100; hkl 0 0 9, 18.3°, d = 4.853 Å, I = 24; hkl 1 0 10, 26.1°, d = 3.420 Å, I = 68; hkl 0 1 11, 27.7°, d = 3.219 Å, I = 40; hkl 1 1 0, 28.1°, d = 3.176 Å, I = 61; hkl 0 2 1, 32.6°, d = 2.745 Å, I = 27; hkl 1 1 9, 33.7°, d = 2.657 Å, I = 50; hkl 2 1 10, 48.5°, d = 1.877 Å, I = 25

Atomic structure:
abc: 6.3514 6.3514 43.6765
angles: 90.00 90.00 120.00
Space group R-3m (No. 166, hexagonal axes)
Inequivalent atoms, fractional coordinates:
Sr  0.0000  0.0000  0.0511 [6 per cell]
Sr  0.0000  0.0000  0.1480 [6 per cell]
Li  0.0000  0.0000  0.2788 [6 per cell]
Li  0.0000  0.0000  0.3875 [6 per cell]
Li  0.0000  0.0000  0.5000 [3 per cell]
Li  0.0000  0.5000  0.0000 [9 per cell]
Li  0.0001  0.5001  0.1080 [18 per cell]

3.
Diffraction record for SrLiTa. The X-ray diffraction stick pattern is theoretical, not measured: it uses a PBE-relaxed structure and Cu Kα.
Neutral-atom scattering factors, no anomalous dispersion.

Peak list (8 most intense, 2θ = 10–80°, in order of rising 2θ)
hkl 0 0 2, 13.8°, d = 6.395 Å, I = 100; hkl 1 0 2, 28.4°, d = 3.139 Å, I = 42; hkl 1 0 3, 32.5°, d = 2.752 Å, I = 59; hkl 1 1 0, 35.2°, d = 2.547 Å, I = 67; hkl 1 1 1, 35.9°, d = 2.498 Å, I = 34; hkl 1 0 4, 37.6°, d = 2.391 Å, I = 53; hkl 1 1 2, 38.0°, d = 2.366 Å, I = 35; hkl 1 1 4, 45.5°, d = 1.992 Å, I = 27

Atomic structure:
abc: 3.602 3.602 12.791
angles: 90.00 90.00 90.00
Space group P4mm (No. 99)
Inequivalent atoms, fractional coordinates:
Sr  0.000  0.000  0.000 [1 per cell]
Sr  0.500  0.500  0.278 [1 per cell]
Li  0.000  0.000  0.481 [1 per cell]
Li  0.500  0.500  0.594 [1 per cell]
Ta  0.000  0.000  0.731 [1 per cell]
Ta  0.500  0.500  0.813 [1 per cell]